(1)
This entry pairs a crystal structure of PAu3 with its theoretical X-ray diffraction stick pattern. Radiation: Cu Kα X-rays. Structure: a cell relaxed with PBE.
Peak positions follow from Bragg's law for the DFT cell and can differ from measured ones.

Atomic structure:
```
PAu3
1.0
7.8461 0.0000 0.0000
0.0000 7.7424 0.0000
0.0000 0.0000 5.2891
P Au
4 12
Direct
0.2167 0.2500 0.0141
0.2833 0.7500 0.5141
0.7167 0.2500 0.4859
0.7833 0.7500 0.9859
0.0285 0.7500 0.2514
0.2263 0.0638 0.3861
0.2263 0.4362 0.3861
0.2737 0.5638 0.8861
0.2737 0.9362 0.8861
0.4715 0.2500 0.7514
0.5285 0.7500 0.2486
0.7263 0.0638 0.1139
0.7263 0.4362 0.1139
0.7737 0.5638 0.6139
0.7737 0.9362 0.6139
0.9715 0.2500 0.7486
```

Main lines, by angle (2θ = 10–90°):
| Position (°2θ) | Rel. int. |
| --- | --- |
| 30.6 | 100 |
| 32.5 | 94 |
| 35.8 | 60 |
| 38.8 | 63 |
| 40.6 | 55 |
| 43.0 | 37 |

(2)
This entry pairs a crystal structure of PAu with its theoretical X-ray diffraction stick pattern. Radiation: Cu Kα X-rays. Structure: a cell relaxed with PBE.
Peak positions follow from Bragg's law for the DFT cell and can differ from measured ones.

Atomic structure:
```
PAu
1.0
-1.6412 4.2040 3.5631
1.6412 -4.2040 3.5631
1.6412 4.2040 -3.5631
P Au
2 2
Direct
0.3963 0.1463 0.2500
0.6037 0.8537 0.7500
0.0000 0.0000 0.0000
0.5000 0.0000 0.5000
```

Main lines, by angle (2θ = 10–90°):
| Position (°2θ) | Rel. int. |
| --- | --- |
| 21.1 | 66 |
| 25.0 | 59 |
| 30.0 | 100 |
| 33.0 | 71 |
| 37.0 | 79 |
| 52.3 | 47 |